[1]
Simulated powder diffraction line list of Zn3Au4 for λ = 1.5418 Å (Cu Kα), from the GGA-PBE geometry in Alexandria.
No peak broadening, texture or thermal motion is included.

Structural model:
Cell: 4.4440 4.4440 21.4954 Å, 90.00 90.00 120.00°
Space group R-3m (No. 166, hexagonal axes)
One atom of each set of equivalent atoms:
Zn 0.0000 0.0000 0.0000 x3
Zn 0.0000 0.0000 0.2492 x6
Au 0.0000 0.0000 0.1267 x6
Au 0.0000 0.0000 0.3812 x6

Peak list (8 most intense, 10° ≤ 2θ ≤ 90°, in order of falling intensity)
| two_theta | d_spacing | intensity | h k l |
| --- | --- | --- | --- |
| 40.6 | 2.222 | 1000 | 1 1 0 |
| 41.0 | 2.203 | 936 | 0 1 8 |
| 28.5 | 3.129 | 812 | 1 0 4 |
| 74.1 | 1.279 | 327 | 1 2 8 |
| 59.0 | 1.564 | 319 | 2 0 8 |
| 50.4 | 1.812 | 179 | 0 2 4 |
| 73.9 | 1.283 | 172 | 3 0 0 |
| 66.6 | 1.404 | 160 | 2 1 4 |

---

[2]
Simulated powder diffraction line list of Zn3Au8 for λ = 1.5418 Å (Cu Kα), from the GGA-PBE geometry in Alexandria.
No peak broadening, texture or thermal motion is included.

Structural model:
Cell: 8.7196 8.7196 9.7199 Å, 90.00 90.00 120.00°
Space group R-3 (No. 148, hexagonal axes)
One atom of each set of equivalent atoms:
Zn 0.0000 0.5000 0.0000 x9
Au 0.0000 0.0000 0.3581 x6
Au 0.0082 0.7951 0.8922 x18

Peak list (8 most intense, 10° ≤ 2θ ≤ 90°, in order of falling intensity)
| two_theta | d_spacing | intensity | h k l |
| --- | --- | --- | --- |
| 32.7 | 2.739 | 1000 | 2 1 1 |
| 36.5 | 2.461 | 814 | 1 2 2 |
| 34.5 | 2.601 | 442 | 2 -1 3 |
| 50.5 | 1.809 | 412 | 4 -2 3 |
| 38.9 | 2.313 | 394 | 1 0 4 |
| 55.8 | 1.648 | 310 | 4 1 0 |
| 71.1 | 1.326 | 148 | 3 3 3 |
| 49.2 | 1.852 | 143 | 4 0 1 |